# 1
For Cs2TlS3, a structure optimized by DFT (GGA-PBE) gives the computed XRD peak list in this record (Cu Ka).

Peak list (10 most intense, 10° ≤ 2θ ≤ 90°, low angle first)
d/Å, I/Imax
8.127, 26
6.865, 23
4.168, 28
3.878, 100
3.495, 68
3.379, 62
3.034, 32
2.709, 39
2.496, 29
1.939, 23

Crystal structure
Cell: 13.741 10.083 6.074 Å, 90.00 92.28 90.00°
Space group C2/c (No. 15)
Unique sites:
Cs1 0.150 0.161 0.249 (multiplicity 8)
Tl1 0.000 0.383 0.750 (multiplicity 4)
S1 0.000 0.140 0.750 (multiplicity 4)
S2 0.140 0.496 0.468 (multiplicity 8)

=====

# 2
For CsTl3S8, a structure optimized by DFT (GGA-PBE) gives the computed XRD peak list in this record (Cu Ka).

Peak list (10 most intense, 10° ≤ 2θ ≤ 90°, low angle first)
d/Å, I/Imax
4.195, 22
4.033, 100
2.967, 40
2.750, 10
2.392, 38
2.384, 12
2.303, 10
2.098, 13
2.019, 13
1.577, 11

Crystal structure
Cell: 10.999 11.884 8.066 Å, 90.00 132.73 90.00°
Space group Cm (No. 8)
Unique sites:
Cs1 0.000 0.000 0.000 (multiplicity 2)
Tl1 0.001 0.500 0.999 (multiplicity 2)
Tl2 0.498 0.250 0.501 (multiplicity 4)
S1 0.004 0.000 0.464 (multiplicity 2)
S2 0.042 0.500 0.536 (multiplicity 2)
S3 0.231 0.232 0.001 (multiplicity 4)
S4 0.300 0.500 0.421 (multiplicity 2)
S5 0.380 0.000 0.578 (multiplicity 2)
S6 0.412 0.210 0.999 (multiplicity 4)